This entry pairs a crystal structure of In2CuAg2 with its simulated powder diffraction line list. Radiation: Cu Kα (λ = 1.5418 Å). Structure: a cell relaxed with PBE.
Neutral-atom scattering factors, no anomalous dispersion.

Peak list (10 most intense, 2θ from 5° to 70°, sorted by position)
d = 3.223 Å, intensity 26
d = 2.644 Å, intensity 49
d = 2.596 Å, intensity 27
d = 2.523 Å, intensity 36
d = 2.446 Å, intensity 100
d = 2.356 Å, intensity 57
d = 2.337 Å, intensity 20
d = 2.279 Å, intensity 34
d = 2.264 Å, intensity 38
d = 2.211 Å, intensity 36

```
10
Lattice="6.627 -2.899 0.000 6.627 2.899 0.000 -1.219 0.000 5.124" Properties=species:S:1:pos:R:3 pbc="T T T"
In 4.058 2.057 4.800
In 7.367 2.057 2.885
In 4.668 -2.057 2.239
In 7.976 -2.057 0.323
Cu 6.322 0.031 1.281
Cu 5.712 -0.031 3.843
Ag 3.801 0.756 2.012
Ag 3.191 -0.756 4.574
Ag 8.843 0.756 0.550
Ag 8.233 -0.756 3.112
```